This entry pairs a crystal structure of Ca2TeAsW with its theoretical X-ray diffraction stick pattern. Radiation: Cu Ka. Structure: a DFT-relaxed cell (GGA-PBE, Alexandria).
Peak positions follow from Bragg's law for the DFT cell and can differ from measured ones.

Structural model:
```
data_Ca2TeAsW
_chemical_formula_sum 'Ca2 Te1 As1 W1'
_symmetry_space_group_name_H-M 'P 1'
_symmetry_Int_Tables_number 1
_symmetry_space_group_name_Hall 'P 1'
_cell_length_a 5.711
_cell_length_b 5.711
_cell_length_c 5.516
_cell_angle_alpha 90.00
_cell_angle_beta 90.00
_cell_angle_gamma 90.00
loop_
_atom_site_label
_atom_site_fract_x
_atom_site_fract_y
_atom_site_fract_z
_atom_site_occupancy
Ca1 0.000 0.500 0.000 1
Ca2 0.500 0.000 0.000 1
Te1 0.000 0.000 0.000 1
As1 0.000 0.000 0.500 1
W1 0.500 0.500 0.500 1
```

Peak list (12 most intense, 2θ from 10° to 90°, in order of falling intensity)
d_spacing, 2theta, I/Imax, (hkl)
3.968, 22.4, 100, 1 0 1
2.856, 31.3, 92, 2 0 0
4.039, 22.0, 89, 1 1 0
1.984, 45.7, 64, 2 0 2
3.259, 27.4, 58, 1 1 1
2.318, 38.9, 49, 2 1 1
2.758, 32.5, 42, 0 0 2
2.278, 39.6, 40, 1 1 2
1.629, 56.5, 34, 2 2 2
2.019, 44.9, 34, 2 2 0
1.511, 61.4, 23, 3 1 2
1.159, 83.4, 22, 4 2 2